Starting from a DFT-relaxed cell (PBE, Alexandria), the PXRD pattern of Hf3Al8Ir4 was simulated for Cu Kα, 1.54184 Å.
Intensities are scaled so that the largest is 100.

Largest 6 diffraction maxima, by angle, 2θ from 10° to 90°:
| 2θ (°) | d/Å | Rel. int. |
| --- | --- | --- |
| 28.81 | 3.099 | 87 |
| 37.70 | 2.386 | 27 |
| 41.19 | 2.192 | 100 |
| 51.04 | 1.789 | 19 |
| 67.59 | 1.386 | 22 |
| 75.08 | 1.265 | 20 |

Atomic structure:
```
Hf3Al8Ir4
1.0
0.0000 6.1986 6.1986
6.1986 0.0000 6.1986
6.1986 6.1986 0.0000
Hf Al Ir
6 16 8
Direct
0.2091 0.2091 0.7909
0.2091 0.7909 0.2091
0.2091 0.7909 0.7909
0.7909 0.2091 0.2091
0.7909 0.2091 0.7909
0.7909 0.7909 0.2091
0.1375 0.6208 0.6208
0.1637 0.1637 0.1637
0.1637 0.1637 0.5088
0.1637 0.5088 0.1637
0.3792 0.3792 0.3792
0.3792 0.3792 0.8625
0.3792 0.8625 0.3792
0.4912 0.8363 0.8363
0.5088 0.1637 0.1637
0.6208 0.1375 0.6208
0.6208 0.6208 0.1375
0.6208 0.6208 0.6208
0.8363 0.4912 0.8363
0.8363 0.8363 0.4912
0.8363 0.8363 0.8363
0.8625 0.3792 0.3792
0.0000 0.0000 0.0000
0.0000 0.0000 0.5000
0.0000 0.5000 0.0000
0.0000 0.5000 0.5000
0.5000 0.0000 0.0000
0.5000 0.0000 0.5000
0.5000 0.5000 0.0000
0.5000 0.5000 0.5000
```



Starting from a DFT-relaxed cell (PBE, Alexandria), the PXRD pattern of KHfAl was simulated for Cu Kα, 1.54184 Å.
Intensities are scaled so that the largest is 100.

Largest 6 diffraction maxima, by angle, 2θ from 10° to 90°:
| 2θ (°) | d/Å | Rel. int. |
| --- | --- | --- |
| 12.96 | 6.829 | 100 |
| 18.33 | 4.840 | 74 |
| 26.08 | 3.416 | 82 |
| 37.18 | 2.418 | 27 |
| 37.53 | 2.397 | 48 |
| 42.10 | 2.147 | 52 |

Atomic structure:
```
KHfAl
1.0
13.6589 0.0000 0.0000
0.0000 5.5171 0.0000
0.0000 0.0000 5.1755
K Hf Al
4 4 4
Direct
0.2396 0.2500 0.0154
0.2604 0.7500 0.5154
0.7396 0.2500 0.4846
0.7604 0.7500 0.9846
0.0074 0.2500 0.5004
0.4926 0.7500 0.0004
0.5074 0.2500 0.9996
0.9926 0.7500 0.4996
0.0000 0.0000 0.0000
0.0000 0.5000 0.0000
0.5000 0.0000 0.5000
0.5000 0.5000 0.5000
```



Starting from a DFT-relaxed cell (PBE, Alexandria), the PXRD pattern of Li2HfAl2 was simulated for Cu Kα, 1.54184 Å.
Intensities are scaled so that the largest is 100.

Largest 6 diffraction maxima, by angle, 2θ from 10° to 90°:
| 2θ (°) | d/Å | Rel. int. |
| --- | --- | --- |
| 16.37 | 5.414 | 100 |
| 23.24 | 3.828 | 34 |
| 33.09 | 2.707 | 29 |
| 36.21 | 2.481 | 36 |
| 37.13 | 2.421 | 42 |
| 39.98 | 2.255 | 39 |

Atomic structure:
```
Li2HfAl2
1.0
7.6564 0.0000 0.0000
0.0000 7.6564 0.0000
0.0000 0.0000 2.7911
Li Hf Al
4 2 4
Direct
0.1150 0.3850 0.0000
0.3850 0.8850 0.0000
0.6150 0.1150 0.0000
0.8850 0.6150 0.0000
0.0000 0.0000 0.0000
0.5000 0.5000 0.0000
0.1833 0.6833 0.5000
0.3167 0.1833 0.5000
0.6833 0.8167 0.5000
0.8167 0.3167 0.5000
```



Starting from a DFT-relaxed cell (PBE, Alexandria), the PXRD pattern of LiHfAl6 was simulated for Cu Kα, 1.54184 Å.
Intensities are scaled so that the largest is 100.

Largest 6 diffraction maxima, by angle, 2θ from 10° to 90°:
| 2θ (°) | d/Å | Rel. int. |
| --- | --- | --- |
| 10.84 | 8.164 | 100 |
| 21.98 | 4.043 | 24 |
| 24.57 | 3.623 | 69 |
| 33.20 | 2.698 | 34 |
| 38.44 | 2.342 | 86 |
| 44.83 | 2.022 | 28 |

Atomic structure:
```
LiHfAl6
1.0
4.0434 0.0000 0.0000
0.0000 4.0434 0.0000
0.0000 0.0000 8.1642
Li Hf Al
1 1 6
Direct
0.0000 0.0000 0.0000
0.0000 0.0000 0.5000
0.0000 0.5000 0.2426
0.0000 0.5000 0.7574
0.5000 0.0000 0.2426
0.5000 0.0000 0.7574
0.5000 0.5000 0.0000
0.5000 0.5000 0.5000
```



Starting from a DFT-relaxed cell (PBE, Alexandria), the PXRD pattern of LiHfAl was simulated for Cu Kα, 1.54184 Å.
Intensities are scaled so that the largest is 100.

Largest 6 diffraction maxima, by angle, 2θ from 10° to 90°:
| 2θ (°) | d/Å | Rel. int. |
| --- | --- | --- |
| 11.51 | 7.685 | 100 |
| 21.98 | 4.043 | 29 |
| 29.90 | 2.988 | 50 |
| 37.85 | 2.377 | 17 |
| 39.13 | 2.302 | 28 |
| 39.63 | 2.274 | 32 |

Atomic structure:
```
LiHfAl
1.0
3.0357 0.0000 0.0000
0.0000 4.7542 0.0000
-1.3897 0.0000 7.6855
Li Hf Al
2 2 2
Direct
0.2389 0.2500 0.4720
0.7611 0.7500 0.5280
0.4093 0.7500 0.8746
0.5907 0.2500 0.1254
0.1196 0.7500 0.2185
0.8804 0.2500 0.7815
```



Starting from a DFT-relaxed cell (PBE, Alexandria), the PXRD pattern of LiHfAl2Pt4 was simulated for Cu Kα, 1.54184 Å.
Intensities are scaled so that the largest is 100.

Largest 6 diffraction maxima, by angle, 2θ from 10° to 90°:
| 2θ (°) | d/Å | Rel. int. |
| --- | --- | --- |
| 28.54 | 3.127 | 69 |
| 39.69 | 2.271 | 89 |
| 41.90 | 2.156 | 100 |
| 59.08 | 1.564 | 28 |
| 75.04 | 1.266 | 29 |
| 76.50 | 1.245 | 36 |

Atomic structure:
```
LiHfAl2Pt4
1.0
2.1561 1.2448 7.6295
-2.1561 1.2448 7.6295
0.0000 -2.4897 7.6295
Li Hf Al Pt
1 1 2 4
Direct
0.0000 0.0000 0.0000
0.5000 0.5000 0.5000
0.2561 0.2561 0.2561
0.7439 0.7439 0.7439
0.1087 0.1087 0.1087
0.3727 0.3727 0.3727
0.6273 0.6273 0.6273
0.8913 0.8913 0.8913
```